This entry pairs a crystal structure of Co3Cu3S8 with its computed X-ray powder pattern. Radiation: Cu Kα (weighted mean of Kα1 and Kα2). Structure: a DFT-relaxed cell (GGA-PBE, Alexandria).
No peak broadening, texture or thermal motion is included.

Structure:
```
data_Co3Cu3S8
_space_group_name_H-M_alt 'R -3 m'
_space_group_IT_number 166
_space_group_name_Hall '-R 3 2"'
_cell_length_a 6.7081
_cell_length_b 6.7081
_cell_length_c 16.8283
_cell_angle_alpha 90.00
_cell_angle_beta 90.00
_cell_angle_gamma 120.00
loop_
_atom_site_label
_atom_site_type_symbol
_atom_site_fract_x
_atom_site_fract_y
_atom_site_fract_z
Co1 Co 0.0000 0.5000 0.0000
Cu1 Cu 0.0000 0.0000 0.1262
Cu2 Cu 0.0000 0.0000 0.5000
S1 S 0.0000 0.0000 0.2631
S2 S 0.0280 0.5140 0.2584
```

Main lines, by angle (2θ = 15–90°):
two_theta  I/Imax
26.15  30
26.58  33
30.70  46
31.07  100
31.25  38
37.63  77
49.57  39
49.82  28
53.81  72
54.73  73